[1]
Theoretical X-ray powder pattern of Nd4CoAu for copper Kα, from a PBE-relaxed structure.
Peak positions follow from Bragg's law for the DFT cell and can differ from measured ones.

Top 12 peaks for 15 to 90 degrees two-theta, low angle first:
2θ = 29.61°, d = 3.017 Å, intensity 782
2θ = 30.43°, d = 2.937 Å, intensity 762
2θ = 31.01°, d = 2.884 Å, intensity 368
2θ = 31.13°, d = 2.873 Å, intensity 1000
2θ = 33.15°, d = 2.702 Å, intensity 768
2θ = 34.20°, d = 2.622 Å, intensity 543
2θ = 34.86°, d = 2.573 Å, intensity 434
2θ = 35.39°, d = 2.536 Å, intensity 547
2θ = 36.92°, d = 2.434 Å, intensity 946
2θ = 39.60°, d = 2.276 Å, intensity 375
2θ = 40.21°, d = 2.243 Å, intensity 385
2θ = 49.18°, d = 1.853 Å, intensity 457

Structural model:
Unit cell a=8.2474 b=8.2474 c=6.2536 alpha=105.16 beta=105.16 gamma=115.43
Positions (direct):
Nd 0.0637 0.6943 0.9104
Nd 0.2106 0.3382 0.6858
Nd 0.3057 0.9363 0.5896
Nd 0.3382 0.2106 0.1858
Nd 0.6618 0.7894 0.8142
Nd 0.6943 0.0637 0.4104
Nd 0.7894 0.6618 0.3142
Nd 0.9363 0.3057 0.0896
Co 0.0055 0.9945 0.7500
Co 0.9945 0.0055 0.2500
Au 0.3749 0.6251 0.2500
Au 0.6251 0.3749 0.7500

[2]
Theoretical X-ray powder pattern of CoNiAu for copper Kα, from a PBE-relaxed structure.
Peak positions follow from Bragg's law for the DFT cell and can differ from measured ones.

Top 12 peaks for 15 to 90 degrees two-theta, low angle first:
2θ = 21.07°, d = 4.217 Å, intensity 321
2θ = 27.48°, d = 3.245 Å, intensity 600
2θ = 34.58°, d = 2.594 Å, intensity 339
2θ = 41.11°, d = 2.196 Å, intensity 1000
2θ = 41.93°, d = 2.154 Å, intensity 982
2θ = 46.40°, d = 1.957 Å, intensity 703
2θ = 47.39°, d = 1.919 Å, intensity 176
2θ = 52.02°, d = 1.758 Å, intensity 259
2θ = 61.54°, d = 1.507 Å, intensity 212
2θ = 72.24°, d = 1.308 Å, intensity 367
2θ = 81.82°, d = 1.177 Å, intensity 236
2θ = 83.47°, d = 1.158 Å, intensity 252

Structural model:
Unit cell a=2.7260 b=3.5162 c=8.4340 alpha=90.00 beta=90.00 gamma=90.00
Positions (direct):
Co 0.0000 0.0000 0.0000
Co 0.5000 0.5000 0.5000
Ni 0.0000 0.0000 0.3670
Ni 0.5000 0.5000 0.8670
Au 0.0000 0.0000 0.6839
Au 0.5000 0.5000 0.1839